No. 1
The following is a calculated XRD peak list of Er2Sn2BIr4. It was derived from a cell relaxed with PBE, using CuKα.
Kinematic intensities with the Lorentz-polarization factor, no thermal factor.

Most intense lines, 2θ from 10° to 90°, sorted by position:
d_spacing  intensity
2.485  100.0
2.163  14.6
2.147  35.6
1.524  19.3
1.518  11.9
1.303  8.7
1.295  26.1
1.242  9.9

Cell: 6.095 6.095 6.095 Å, 120.25 120.25 89.56°
Element x y z (fractional)
Er (0.211, 0.211, 0.000)
Er (0.789, 0.789, 0.000)
Sn (0.250, 0.750, 0.500)
Sn (0.750, 0.250, 0.500)
B (0.500, 0.500, 0.000)
Ir (0.257, 0.257, 0.515)
Ir (0.257, 0.743, 0.000)
Ir (0.743, 0.257, 0.000)
Ir (0.743, 0.743, 0.485)

No. 2
The following is a calculated XRD peak list of LiNd2CuAu6. It was derived from a cell relaxed with PBE, using CuKα.
Kinematic intensities with the Lorentz-polarization factor, no thermal factor.

Most intense lines, 2θ from 10° to 90°, sorted by position:
d_spacing  intensity
4.335  40.8
3.196  23.0
3.177  76.0
3.142  38.4
2.350  100.0
2.311  51.2
2.305  51.0
2.226  22.8

Cell: 5.463 6.859 6.921 Å, 84.01 66.83 66.60°
Element x y z (fractional)
Li (0.000, 0.000, 0.000)
Nd (0.469, 0.774, 0.289)
Nd (0.531, 0.226, 0.711)
Cu (0.000, 0.500, 0.500)
Au (0.007, 0.221, 0.267)
Au (0.151, 0.598, 0.101)
Au (0.494, 0.777, 0.733)
Au (0.506, 0.223, 0.267)
Au (0.849, 0.402, 0.899)
Au (0.993, 0.779, 0.733)

No. 3
The following is a calculated XRD peak list of Zn8CuAg6. It was derived from a cell relaxed with PBE, using CuKα.
Kinematic intensities with the Lorentz-polarization factor, no thermal factor.

Most intense lines, 2θ from 10° to 90°, sorted by position:
d_spacing  intensity
3.744  25.8
2.527  19.0
2.345  21.4
2.183  100.0
2.162  79.5
1.536  21.3
1.264  15.0
1.252  15.9

Cell: 6.898 6.898 6.898 Å, 65.75 65.75 65.75°
Element x y z (fractional)
Zn (0.068, 0.384, 0.676)
Zn (0.237, 0.237, 0.237)
Zn (0.324, 0.932, 0.616)
Zn (0.384, 0.676, 0.068)
Zn (0.616, 0.324, 0.932)
Zn (0.676, 0.068, 0.384)
Zn (0.763, 0.763, 0.763)
Zn (0.932, 0.616, 0.324)
Cu (0.500, 0.500, 0.500)
Ag (0.127, 0.822, 0.410)
Ag (0.178, 0.590, 0.873)
Ag (0.410, 0.127, 0.822)
Ag (0.590, 0.873, 0.178)
Ag (0.822, 0.410, 0.127)
Ag (0.873, 0.178, 0.590)

No. 4
The following is a calculated XRD peak list of Rb2Na4Sn. It was derived from a cell relaxed with PBE, using CuKα.
Kinematic intensities with the Lorentz-polarization factor, no thermal factor.

Most intense lines, 2θ from 10° to 90°, sorted by position:
d_spacing  intensity
4.457  100.0
4.277  80.1
3.311  35.5
3.024  59.9
2.503  45.6
2.231  53.2
2.139  35.4
1.914  37.6

Cell: 6.048 6.048 19.784 Å, 90.00 90.00 90.00°
Element x y z (fractional)
Rb (0.000, 0.000, 0.138)
Rb (0.000, 0.000, 0.862)
Rb (0.500, 0.500, 0.362)
Rb (0.500, 0.500, 0.638)
Na (0.000, 0.000, 0.345)
Na (0.000, 0.000, 0.655)
Na (0.000, 0.500, 0.000)
Na (0.000, 0.500, 0.500)
Na (0.500, 0.000, 0.000)
Na (0.500, 0.000, 0.500)
Na (0.500, 0.500, 0.155)
Na (0.500, 0.500, 0.845)
Sn (0.000, 0.000, 0.500)
Sn (0.500, 0.500, 0.000)

No. 5
The following is a calculated XRD peak list of Fe2NiN. It was derived from a cell relaxed with PBE, using CuKα.
Kinematic intensities with the Lorentz-polarization factor, no thermal factor.

Most intense lines, 2θ from 10° to 90°, sorted by position:
d_spacing  intensity
2.298  30.2
2.249  17.5
2.123  38.9
2.083  76.1
1.980  100.0
1.765  15.0
1.336  32.0
1.131  26.8

Cell: 2.672 2.672 19.109 Å, 90.00 90.00 120.00°
Element x y z (fractional)
Fe (0.000, 0.000, 0.000)
Fe (0.000, 0.000, 0.210)
Fe (0.333, 0.667, 0.667)
Fe (0.333, 0.667, 0.877)
Fe (0.667, 0.333, 0.333)
Fe (0.667, 0.333, 0.543)
Ni (0.000, 0.000, 0.439)
Ni (0.333, 0.667, 0.106)
Ni (0.667, 0.333, 0.772)
N (0.000, 0.000, 0.604)
N (0.333, 0.667, 0.271)
N (0.667, 0.333, 0.938)

No. 6
The following is a calculated XRD peak list of LiTmPaSe4. It was derived from a cell relaxed with PBE, using CuKα.
Kinematic intensities with the Lorentz-polarization factor, no thermal factor.

Most intense lines, 2θ from 10° to 90°, sorted by position:
d_spacing  intensity
6.803  50.8
6.694  78.8
3.551  33.4
3.507  32.6
2.926  100.0
2.914  49.5
2.243  24.6
2.065  75.8

Cell: 8.260 8.260 8.260 Å, 120.66 119.06 90.24°
Element x y z (fractional)
Li (0.383, 0.133, 0.250)
Li (0.617, 0.867, 0.750)
Tm (0.000, 0.000, 0.500)
Tm (0.000, 0.500, 0.000)
Pa (0.000, 0.500, 0.500)
Pa (0.500, 0.500, 0.000)
Se (0.230, 0.744, 0.486)
Se (0.241, 0.256, 0.986)
Se (0.244, 0.253, 0.509)
Se (0.244, 0.735, 0.991)
Se (0.756, 0.265, 0.009)
Se (0.756, 0.747, 0.491)
Se (0.759, 0.744, 0.014)
Se (0.770, 0.256, 0.514)

No. 7
The following is a calculated XRD peak list of K3NaTl4Br8. It was derived from a cell relaxed with PBE, using CuKα.
Kinematic intensities with the Lorentz-polarization factor, no thermal factor.

Most intense lines, 2θ from 10° to 90°, sorted by position:
d_spacing  intensity
7.729  30.2
3.998  26.6
3.325  100.0
2.359  38.3
2.343  38.1
1.915  20.5
1.491  17.4
1.483  17.6

Cell: 9.435 9.435 9.435 Å, 59.57 59.57 59.57°
Element x y z (fractional)
K (0.000, 0.500, 0.500)
K (0.500, 0.000, 0.500)
K (0.500, 0.500, 0.000)
Na (0.000, 0.000, 0.000)
Tl (0.000, 0.000, 0.500)
Tl (0.000, 0.500, 0.000)
Tl (0.500, 0.000, 0.000)
Tl (0.500, 0.500, 0.500)
Br (0.239, 0.239, 0.757)
Br (0.239, 0.757, 0.239)
Br (0.243, 0.761, 0.761)
Br (0.252, 0.252, 0.252)
Br (0.748, 0.748, 0.748)
Br (0.757, 0.239, 0.239)
Br (0.761, 0.243, 0.761)
Br (0.761, 0.761, 0.243)

No. 8
The following is a calculated XRD peak list of MgScAs4. It was derived from a cell relaxed with PBE, using CuKα.
Kinematic intensities with the Lorentz-polarization factor, no thermal factor.

Most intense lines, 2θ from 10° to 90°, sorted by position:
d_spacing  intensity
4.564  47.5
2.384  100.0
2.282  67.3
1.976  19.6
1.814  12.0
1.521  31.5
1.397  30.5
1.192  24.7

Cell: 5.590 5.590 5.590 Å, 60.00 60.00 60.00°
Element x y z (fractional)
Mg (0.000, 0.000, 0.000)
Sc (0.750, 0.750, 0.750)
As (0.374, 0.374, 0.374)
As (0.374, 0.374, 0.877)
As (0.374, 0.877, 0.374)
As (0.877, 0.374, 0.374)